Record 1
Computed powder XRD pattern of Cu2Ag3 for CuKα, from a structure optimized by DFT (GGA-PBE).
Neutral-atom scattering factors, no anomalous dispersion.

Atomic structure:
a = 4.795 Å, b = 2.853 Å, c = 11.447 Å
α = 90.00°, β = 95.72°, γ = 90.00°
Atoms (fractional coordinates):
Cu1 0.099 0.000 0.296
Cu2 0.301 0.000 0.904
Cu3 0.699 0.000 0.096
Cu4 0.901 0.000 0.704
Ag1 0.000 0.500 0.500
Ag2 0.198 0.500 0.099
Ag3 0.393 0.500 0.709
Ag4 0.500 0.000 0.500
Ag5 0.607 0.500 0.291
Ag6 0.802 0.500 0.901

Most intense lines, 15° ≤ 2θ ≤ 90°, by intensity:
| 2θ (°) | intensity |
| --- | --- |
| 39.32 | 100.0 |
| 45.07 | 44.3 |
| 39.56 | 32.3 |
| 47.21 | 18.8 |
| 67.18 | 12.5 |
| 67.46 | 11.8 |
| 79.10 | 7.9 |
| 79.33 | 7.7 |
| 79.23 | 7.6 |
| 79.60 | 7.3 |

=====

Record 2
Computed powder XRD pattern of Er3Zn11 for CuKα, from a structure optimized by DFT (GGA-PBE).
Neutral-atom scattering factors, no anomalous dispersion.

Atomic structure:
a = 8.061 Å, b = 8.061 Å, c = 8.061 Å
α = 148.98°, β = 112.37°, γ = 76.26°
Atoms (fractional coordinates):
Er1 0.000 0.000 0.000
Er2 0.296 0.296 0.000
Er3 0.704 0.704 0.000
Zn1 0.023 0.660 0.362
Zn2 0.142 0.862 0.280
Zn3 0.298 0.660 0.638
Zn4 0.310 0.500 0.810
Zn5 0.418 0.138 0.280
Zn6 0.500 0.000 0.500
Zn7 0.582 0.862 0.720
Zn8 0.690 0.500 0.190
Zn9 0.702 0.340 0.362
Zn10 0.858 0.138 0.720
Zn11 0.977 0.340 0.638

Most intense lines, 15° ≤ 2θ ≤ 90°, by intensity:
| 2θ (°) | intensity |
| --- | --- |
| 35.86 | 100.0 |
| 36.57 | 68.6 |
| 41.91 | 44.0 |
| 36.82 | 30.1 |
| 70.26 | 28.4 |
| 34.65 | 26.9 |
| 39.32 | 25.0 |
| 29.60 | 23.2 |
| 55.47 | 18.3 |
| 42.79 | 18.2 |

=====

Record 3
Computed powder XRD pattern of Cu39Ag for CuKα, from a structure optimized by DFT (GGA-PBE).
Neutral-atom scattering factors, no anomalous dispersion.

Atomic structure:
a = 6.770 Å, b = 8.859 Å, c = 9.223 Å
α = 113.65°, β = 90.06°, γ = 109.03°
Atoms (fractional coordinates):
Cu1 0.000 0.000 0.000
Cu2 0.000 0.500 0.000
Cu3 0.049 0.449 0.250
Cu4 0.052 0.950 0.249
Cu5 0.093 0.898 0.500
Cu6 0.099 0.400 0.500
Cu7 0.150 0.850 0.750
Cu8 0.151 0.351 0.751
Cu9 0.199 0.301 0.001
Cu10 0.200 0.800 0.999
Cu11 0.245 0.744 0.244
Cu12 0.249 0.251 0.249
Cu13 0.296 0.694 0.500
Cu14 0.298 0.205 0.500
Cu15 0.347 0.153 0.756
Cu16 0.350 0.649 0.750
Cu17 0.399 0.101 0.000
Cu18 0.400 0.599 0.999
Cu19 0.449 0.051 0.245
Cu20 0.450 0.550 0.250
Cu21 0.500 0.500 0.500
Cu22 0.550 0.450 0.750
Cu23 0.551 0.949 0.755
Cu24 0.600 0.401 0.001
Cu25 0.601 0.899 0.000
Cu26 0.650 0.351 0.250
Cu27 0.653 0.847 0.244
Cu28 0.702 0.795 0.500
Cu29 0.704 0.306 0.500
Cu30 0.751 0.749 0.751
Cu31 0.755 0.256 0.756
Cu32 0.800 0.200 0.001
Cu33 0.801 0.699 0.999
Cu34 0.849 0.649 0.249
Cu35 0.850 0.150 0.250
Cu36 0.901 0.600 0.500
Cu37 0.907 0.102 0.500
Cu38 0.948 0.050 0.751
Cu39 0.951 0.551 0.750
Ag1 0.500 0.000 0.500

Most intense lines, 15° ≤ 2θ ≤ 90°, by intensity:
| 2θ (°) | intensity |
| --- | --- |
| 43.32 | 100.0 |
| 50.46 | 62.1 |
| 43.35 | 33.2 |
| 74.12 | 23.7 |
| 89.92 | 14.2 |
| 74.18 | 11.8 |
| 89.85 | 7.1 |
| 89.99 | 7.1 |

=====

Record 4
Computed powder XRD pattern of Dy2As2O5 for CuKα, from a structure optimized by DFT (GGA-PBE).
Neutral-atom scattering factors, no anomalous dispersion.

Atomic structure:
a = 3.711 Å, b = 3.711 Å, c = 9.307 Å
α = 90.00°, β = 90.00°, γ = 90.00°
Atoms (fractional coordinates):
Dy1 0.000 0.000 0.245
Dy2 0.000 0.000 0.755
As1 0.500 0.500 0.000
As2 0.500 0.500 0.500
O1 0.000 0.000 0.000
O2 0.000 0.500 0.366
O3 0.000 0.500 0.634
O4 0.500 0.000 0.366
O5 0.500 0.000 0.634

Most intense lines, 15° ≤ 2θ ≤ 90°, by intensity:
| 2θ (°) | intensity |
| --- | --- |
| 30.82 | 100.0 |
| 34.17 | 32.8 |
| 59.10 | 31.8 |
| 52.57 | 31.3 |
| 49.10 | 19.6 |
| 23.98 | 14.8 |
| 38.70 | 11.7 |
| 65.19 | 11.6 |
| 85.73 | 11.2 |
| 64.20 | 11.1 |

=====

Record 5
Computed powder XRD pattern of CsSm2CuTe3Se for CuKα, from a structure optimized by DFT (GGA-PBE).
Neutral-atom scattering factors, no anomalous dispersion.

Atomic structure:
a = 8.136 Å, b = 8.136 Å, c = 15.321 Å
α = 90.00°, β = 90.00°, γ = 148.54°
Atoms (fractional coordinates):
Cs1 0.096 0.904 0.750
Cs2 0.904 0.096 0.250
Sm1 0.366 0.634 0.571
Sm2 0.366 0.634 0.929
Sm3 0.634 0.366 0.071
Sm4 0.634 0.366 0.429
Cu1 0.162 0.838 0.250
Cu2 0.838 0.162 0.750
Te1 0.000 0.000 0.000
Te2 0.000 0.000 0.500
Te3 0.265 0.735 0.113
Te4 0.265 0.735 0.387
Te5 0.735 0.265 0.613
Te6 0.735 0.265 0.887
Se1 0.420 0.580 0.750
Se2 0.580 0.420 0.250

Most intense lines, 15° ≤ 2θ ≤ 90°, by intensity:
| 2θ (°) | intensity |
| --- | --- |
| 27.09 | 100.0 |
| 28.95 | 70.6 |
| 39.44 | 64.4 |
| 25.89 | 54.1 |
| 40.91 | 40.3 |
| 26.45 | 31.8 |
| 20.76 | 29.9 |
| 36.15 | 27.3 |
| 49.04 | 25.2 |
| 31.45 | 24.9 |

=====

Record 6
Computed powder XRD pattern of TaNb2Pt3 for CuKα, from a structure optimized by DFT (GGA-PBE).
Neutral-atom scattering factors, no anomalous dispersion.

Atomic structure:
a = 13.964 Å, b = 2.816 Å, c = 5.001 Å
α = 90.00°, β = 90.00°, γ = 90.00°
Atoms (fractional coordinates):
Ta1 0.250 0.000 0.002
Ta2 0.750 0.000 0.998
Nb1 0.081 0.000 0.344
Nb2 0.419 0.000 0.344
Nb3 0.581 0.000 0.656
Nb4 0.919 0.000 0.656
Pt1 0.085 0.500 0.844
Pt2 0.250 0.500 0.499
Pt3 0.415 0.500 0.844
Pt4 0.585 0.500 0.156
Pt5 0.750 0.500 0.501
Pt6 0.915 0.500 0.156

Most intense lines, 15° ≤ 2θ ≤ 90°, by intensity:
| 2θ (°) | intensity |
| --- | --- |
| 38.91 | 100.0 |
| 38.69 | 81.0 |
| 41.61 | 67.2 |
| 45.17 | 66.8 |
| 78.29 | 44.3 |
| 40.98 | 44.0 |
| 38.24 | 43.2 |
| 65.02 | 34.8 |
| 44.58 | 28.5 |
| 37.21 | 23.6 |

=====

Record 7
Computed powder XRD pattern of Pr2NdPdPt2Pb3 for CuKα, from a structure optimized by DFT (GGA-PBE).
Neutral-atom scattering factors, no anomalous dispersion.

Atomic structure:
a = 4.145 Å, b = 7.878 Å, c = 7.878 Å
α = 119.95°, β = 90.00°, γ = 90.00°
Atoms (fractional coordinates):
Pr1 0.000 0.206 0.794
Pr2 0.000 0.794 0.206
Nd1 0.000 0.383 0.383
Pd1 0.000 0.794 0.794
Pt1 0.500 0.129 0.461
Pt2 0.500 0.461 0.129
Pb1 0.500 0.050 0.050
Pb2 0.500 0.539 0.794
Pb3 0.500 0.794 0.539

Most intense lines, 15° ≤ 2θ ≤ 90°, by intensity:
| 2θ (°) | intensity |
| --- | --- |
| 31.32 | 100.0 |
| 34.03 | 87.7 |
| 34.78 | 62.4 |
| 41.22 | 42.2 |
| 39.62 | 40.0 |
| 63.52 | 36.4 |
| 57.00 | 31.0 |
| 43.67 | 29.1 |
| 60.42 | 23.4 |
| 21.44 | 15.6 |

=====

Record 8
Computed powder XRD pattern of In2HgTe3S for CuKα, from a structure optimized by DFT (GGA-PBE).
Neutral-atom scattering factors, no anomalous dispersion.

Atomic structure:
a = 6.264 Å, b = 6.296 Å, c = 7.526 Å
α = 114.69°, β = 112.62°, γ = 91.70°
Atoms (fractional coordinates):
In1 0.000 0.000 0.000
In2 0.232 0.763 0.522
Hg1 0.484 0.484 0.007
Te1 0.402 0.916 0.285
Te2 0.620 0.585 0.721
Te3 0.852 0.351 0.286
S1 0.111 0.111 0.756

Most intense lines, 15° ≤ 2θ ≤ 90°, by intensity:
| 2θ (°) | intensity |
| --- | --- |
| 24.86 | 100.0 |
| 24.18 | 66.2 |
| 40.70 | 55.0 |
| 25.06 | 50.4 |
| 41.31 | 48.1 |
| 40.04 | 29.6 |
| 41.64 | 23.1 |
| 20.30 | 18.2 |
| 48.42 | 17.4 |
| 48.28 | 17.0 |